(1)
SmH4Pd5: computed powder XRD pattern (Cu Kα), based on a DFT-relaxed cell (PBE, Alexandria).
Peak positions follow from Bragg's law for the DFT cell and can differ from measured ones.

Main lines, low angle first (15 to 90 degrees two-theta):
- 37.07 deg, I 100, (0 3 1)
- 37.48 deg, I 97, (0 0 2)
- 37.61 deg, I 88, (2 1 1)
- 53.64 deg, I 14, (2 4 0)
- 54.05 deg, I 33, (2 2 2)
- 67.00 deg, I 20, (2 5 1)
- 67.32 deg, I 30, (0 3 3)
- 67.71 deg, I 14, (2 1 3)
- 76.13 deg, I 24, (4 3 1)
- 76.38 deg, I 12, (4 0 2)

Atomic structure:
Unit cell a=5.837 b=8.431 c=4.799 alpha=90.00 beta=90.00 gamma=90.00
Space group Pmmn (No. 59, origin choice 2)
Asymmetric unit:
Sm1 0.250 0.250 0.228 [2 per cell]
H1 0.065 0.750 0.449 [4 per cell]
H2 0.250 0.531 0.903 [4 per cell]
Pd1 0.003 0.579 0.246 [8 per cell]
Pd2 0.250 0.750 0.767 [2 per cell]

---

(2)
SmH3Pd: computed powder XRD pattern (Cu Kα), based on a DFT-relaxed cell (PBE, Alexandria).
Peak positions follow from Bragg's law for the DFT cell and can differ from measured ones.

Main lines, low angle first (15 to 90 degrees two-theta):
- 30.30 deg, I 100, (4 0 0)
- 30.89 deg, I 45, (1 1 1)
- 32.72 deg, I 26, (3 1 0)
- 36.41 deg, I 52, (0 0 2)
- 36.86 deg, I 40, (3 1 -1)
- 38.30 deg, I 36, (3 1 1)
- 46.47 deg, I 15, (4 0 -2)
- 47.78 deg, I 19, (0 2 0)
- 59.98 deg, I 16, (7 1 0)
- 61.50 deg, I 32, (0 2 2)

Atomic structure:
Unit cell a=11.832 b=3.807 c=4.945 alpha=90.00 beta=93.58 gamma=90.00
Space group Cm (No. 8)
Asymmetric unit:
Sm1 0.000 0.000 0.000 [2 per cell]
Sm2 0.226 0.500 0.498 [2 per cell]
H1 0.056 0.500 0.232 [2 per cell]
H2 0.064 0.500 0.758 [2 per cell]
H3 0.166 0.000 0.271 [2 per cell]
H4 0.283 0.500 0.016 [2 per cell]
H5 0.339 0.000 0.709 [2 per cell]
H6 0.440 0.500 0.477 [2 per cell]
Pd1 0.284 0.000 0.031 [2 per cell]
Pd2 0.450 0.000 0.488 [2 per cell]

---

(3)
Sn3H2Pd8: computed powder XRD pattern (Cu Kα), based on a DFT-relaxed cell (PBE, Alexandria).
Peak positions follow from Bragg's law for the DFT cell and can differ from measured ones.

Main lines, low angle first (15 to 90 degrees two-theta):
- 32.13 deg, I 30, (1 1 0)
- 36.21 deg, I 41, (0 0 9)
- 37.22 deg, I 25, (0 1 8)
- 38.16 deg, I 100, (2 0 2)
- 40.44 deg, I 67, (1 1 6)
- 40.74 deg, I 66, (0 2 4)
- 42.59 deg, I 28, (2 0 5)
- 44.72 deg, I 28, (1 0 10)
- 67.20 deg, I 39, (2 2 0)
- 78.79 deg, I 26, (2 2 9)

Atomic structure:
Unit cell a=5.5723 b=5.5723 c=22.3273 alpha=90.00 beta=90.00 gamma=120.00
Space group R-3m (No. 166, hexagonal axes)
Asymmetric unit:
Sn1 0.0000 0.0000 0.0000 [3 per cell]
Sn2 0.0000 0.0000 0.2008 [6 per cell]
H1 0.0000 0.0000 0.3964 [6 per cell]
Pd1 0.0000 0.0000 0.3171 [6 per cell]
Pd2 0.9998 0.4999 0.2322 [18 per cell]

---

(4)
Sn2H3Pd10: computed powder XRD pattern (Cu Kα), based on a DFT-relaxed cell (PBE, Alexandria).
Peak positions follow from Bragg's law for the DFT cell and can differ from measured ones.

Main lines, low angle first (15 to 90 degrees two-theta):
- 38.31 deg, I 100, (2 2 1)
- 38.39 deg, I 33, (2 -2 1)
- 44.22 deg, I 22, (-2 1 2)
- 44.40 deg, I 22, (2 1 4)
- 45.05 deg, I 21, (0 4 0)
- 64.96 deg, I 14, (-2 5 2)
- 77.39 deg, I 12, (4 1 -1)
- 77.64 deg, I 12, (4 3 5)
- 78.56 deg, I 8, (2 6 1)
- 82.03 deg, I 11, (4 4 2)

Atomic structure:
Unit cell a=5.779 b=8.556 c=9.137 alpha=71.20 beta=71.79 gamma=89.95
Space group P-1 (No. 2)
Asymmetric unit:
Sn1 0.123 0.241 0.256 [2 per cell]
Sn2 0.209 0.760 0.084 [2 per cell]
H1 0.267 0.620 0.461 [2 per cell]
H2 0.335 0.496 0.830 [2 per cell]
H3 0.413 0.021 0.665 [2 per cell]
Pd1 0.000 0.500 0.000 [1 per cell]
Pd2 0.036 0.751 0.419 [2 per cell]
Pd3 0.084 0.001 0.832 [2 per cell]
Pd4 0.158 0.495 0.678 [2 per cell]
Pd5 0.251 0.000 0.500 [2 per cell]
Pd6 0.288 0.247 0.925 [2 per cell]
Pd7 0.334 0.498 0.324 [2 per cell]
Pd8 0.372 0.750 0.754 [2 per cell]
Pd9 0.418 0.998 0.168 [2 per cell]
Pd10 0.451 0.252 0.583 [2 per cell]
Pd11 0.500 0.500 0.000 [1 per cell]

---

(5)
Sn3H2Pd7: computed powder XRD pattern (Cu Kα), based on a DFT-relaxed cell (PBE, Alexandria).
Peak positions follow from Bragg's law for the DFT cell and can differ from measured ones.

Main lines, low angle first (15 to 90 degrees two-theta):
- 37.86 deg, I 100, (1 5 1)
- 42.43 deg, I 17, (0 10 0)
- 43.56 deg, I 17, (2 0 0)
- 45.93 deg, I 15, (0 0 2)
- 62.43 deg, I 11, (2 10 0)
- 65.15 deg, I 10, (2 0 2)
- 74.59 deg, I 12, (1 15 1)
- 76.17 deg, I 13, (3 5 1)
- 79.60 deg, I 12, (1 5 3)
- 80.89 deg, I 11, (2 10 2)

Atomic structure:
Unit cell a=4.156 b=21.303 c=3.951 alpha=90.00 beta=90.00 gamma=90.00
Space group Cmmm (No. 65)
Asymmetric unit:
Sn1 0.000 0.000 0.000 [2 per cell]
Sn2 0.000 0.192 0.000 [4 per cell]
H1 0.000 0.407 0.500 [4 per cell]
Pd1 0.000 0.097 0.500 [4 per cell]
Pd2 0.000 0.297 0.500 [4 per cell]
Pd3 0.000 0.401 0.000 [4 per cell]
Pd4 0.000 0.500 0.500 [2 per cell]

---

(6)
Sn2H2Pd5: computed powder XRD pattern (Cu Kα), based on a DFT-relaxed cell (PBE, Alexandria).
Peak positions follow from Bragg's law for the DFT cell and can differ from measured ones.

Main lines, low angle first (15 to 90 degrees two-theta):
- 22.29 deg, I 6, (1 0 0)
- 24.83 deg, I 6, (1 0 1)
- 38.76 deg, I 100, (1 1 2)
- 44.17 deg, I 17, (0 0 4)
- 45.49 deg, I 33, (2 0 0)
- 65.28 deg, I 21, (2 0 4)
- 66.30 deg, I 10, (2 2 0)
- 77.62 deg, I 12, (1 1 6)
- 79.53 deg, I 25, (3 1 2)
- 83.15 deg, I 11, (2 2 4)

Atomic structure:
Unit cell a=3.988 b=3.988 c=8.201 alpha=90.00 beta=90.00 gamma=90.00
Space group P4/mmm (No. 123)
Asymmetric unit:
Sn1 0.000 0.000 0.000 [1 per cell]
Sn2 0.000 0.000 0.500 [1 per cell]
H1 0.500 0.500 0.242 [2 per cell]
Pd1 0.000 0.500 0.237 [4 per cell]
Pd2 0.500 0.500 0.500 [1 per cell]

---

(7)
SnTe2H2Pd7: computed powder XRD pattern (Cu Kα), based on a DFT-relaxed cell (PBE, Alexandria).
Peak positions follow from Bragg's law for the DFT cell and can differ from measured ones.

Main lines, low angle first (15 to 90 degrees two-theta):
- 32.05 deg, I 16, (0 0 4)
- 35.03 deg, I 42, (0 2 2)
- 39.54 deg, I 100, (2 0 2)
- 39.62 deg, I 32, (2 0 -4)
- 40.41 deg, I 29, (0 0 5)
- 44.47 deg, I 67, (2 2 -1)
- 61.64 deg, I 33, (2 2 -6)
- 75.72 deg, I 23, (0 2 8)
- 78.48 deg, I 18, (2 4 2)
- 78.67 deg, I 17, (4 2 1)

Atomic structure:
Unit cell a=5.751 b=5.773 c=11.523 alpha=90.00 beta=104.41 gamma=90.00
Space group C2/m (No. 12)
Asymmetric unit:
Sn1 0.000 0.000 0.000 [2 per cell]
Te1 0.193 0.000 0.389 [4 per cell]
H1 0.090 0.500 0.179 [4 per cell]
Pd1 0.000 0.500 0.000 [2 per cell]
Pd2 0.161 0.250 0.820 [8 per cell]
Pd3 0.180 0.500 0.366 [4 per cell]

---

(8)
TlSn2H2Pd7: computed powder XRD pattern (Cu Kα), based on a DFT-relaxed cell (PBE, Alexandria).
Peak positions follow from Bragg's law for the DFT cell and can differ from measured ones.

Main lines, low angle first (15 to 90 degrees two-theta):
- 35.21 deg, I 86, (0 2 2)
- 37.20 deg, I 88, (2 0 -3)
- 37.91 deg, I 98, (2 0 2)
- 39.94 deg, I 100, (0 2 3)
- 41.57 deg, I 70, (0 0 5)
- 44.66 deg, I 90, (2 2 -1)
- 44.78 deg, I 30, (2 2 0)
- 59.85 deg, I 25, (2 2 4)
- 65.38 deg, I 40, (2 2 -6)
- 77.39 deg, I 24, (2 4 2)

Atomic structure:
Unit cell a=5.742 b=5.773 c=10.987 alpha=90.00 beta=98.64 gamma=90.00
Space group C2/m (No. 12)
Asymmetric unit:
Tl1 0.000 0.000 0.000 [2 per cell]
Sn1 0.127 0.000 0.379 [4 per cell]
H1 0.032 0.500 0.176 [4 per cell]
Pd1 0.000 0.500 0.000 [2 per cell]
Pd2 0.129 0.500 0.392 [4 per cell]
Pd3 0.184 0.249 0.801 [8 per cell]

---

(9)
Tl2SnH2Pd7: computed powder XRD pattern (Cu Kα), based on a DFT-relaxed cell (PBE, Alexandria).
Peak positions follow from Bragg's law for the DFT cell and can differ from measured ones.

Main lines, low angle first (15 to 90 degrees two-theta):
- 32.11 deg, I 27, (0 2 1)
- 35.19 deg, I 44, (0 2 2)
- 37.13 deg, I 74, (2 0 -3)
- 37.55 deg, I 92, (2 0 2)
- 39.87 deg, I 100, (0 2 3)
- 41.28 deg, I 55, (0 0 5)
- 44.61 deg, I 97, (2 2 -1)
- 64.65 deg, I 33, (0 4 0)
- 65.26 deg, I 36, (2 2 -6)
- 77.25 deg, I 44, (2 4 2)

Atomic structure:
Unit cell a=5.769 b=5.765 c=11.049 alpha=90.00 beta=98.19 gamma=90.00
Space group C2/m (No. 12)
Asymmetric unit:
Tl1 0.126 0.000 0.383 [4 per cell]
Sn1 0.000 0.000 0.000 [2 per cell]
H1 0.048 0.500 0.196 [4 per cell]
Pd1 0.000 0.500 0.000 [2 per cell]
Pd2 0.116 0.500 0.378 [4 per cell]
Pd3 0.192 0.248 0.816 [8 per cell]

---

(10)
SrHPd: computed powder XRD pattern (Cu Kα), based on a DFT-relaxed cell (PBE, Alexandria).
Peak positions follow from Bragg's law for the DFT cell and can differ from measured ones.

Main lines, low angle first (15 to 90 degrees two-theta):
- 33.26 deg, I 100, (1 0 2)
- 33.99 deg, I 46, (1 1 0)
- 46.66 deg, I 10, (0 0 4)
- 48.83 deg, I 17, (2 0 0)
- 58.97 deg, I 19, (1 1 4)
- 60.37 deg, I 35, (2 1 2)
- 69.84 deg, I 11, (2 0 4)
- 77.95 deg, I 8, (1 0 6)
- 81.22 deg, I 7, (3 0 2)
- 81.63 deg, I 7, (3 1 0)

Atomic structure:
Unit cell a=3.730 b=3.730 c=7.787 alpha=90.00 beta=90.00 gamma=90.00
Space group P4_2/mmc (No. 131)
Asymmetric unit:
Sr1 0.000 0.000 0.250 [2 per cell]
H1 0.000 0.500 0.000 [2 per cell]
Pd1 0.500 0.500 0.000 [2 per cell]

---

(11)
SrH3Pd3: computed powder XRD pattern (Cu Kα), based on a DFT-relaxed cell (PBE, Alexandria).
Peak positions follow from Bragg's law for the DFT cell and can differ from measured ones.

Main lines, low angle first (15 to 90 degrees two-theta):
- 32.03 deg, I 29, (2 0 0)
- 35.93 deg, I 100, (2 1 0)
- 39.49 deg, I 66, (2 1 1)
- 57.08 deg, I 11, (2 2 2)
- 59.64 deg, I 23, (3 2 0)
- 62.14 deg, I 34, (3 2 1)
- 66.97 deg, I 15, (4 0 0)
- 76.17 deg, I 9, (4 2 0)
- 78.40 deg, I 20, (4 2 1)
- 80.62 deg, I 8, (3 3 2)

Atomic structure:
Unit cell a=5.589 b=5.589 c=5.589 alpha=90.00 beta=90.00 gamma=90.00
Space group Pm-3n (No. 223)
Asymmetric unit:
Sr1 0.000 0.000 0.000 [2 per cell]
H1 0.000 0.250 0.500 [6 per cell]
Pd1 0.000 0.500 0.250 [6 per cell]

---

(12)
Sr3H9Pd2: computed powder XRD pattern (Cu Kα), based on a DFT-relaxed cell (PBE, Alexandria).
Peak positions follow from Bragg's law for the DFT cell and can differ from measured ones.

Main lines, low angle first (15 to 90 degrees two-theta):
- 19.10 deg, I 20, (1 0 0)
- 23.36 deg, I 17, (1 0 1)
- 33.14 deg, I 100, (1 0 2)
- 33.40 deg, I 93, (1 1 0)
- 47.77 deg, I 37, (0 2 2)
- 59.04 deg, I 18, (0 1 4)
- 59.54 deg, I 36, (2 1 2)
- 59.71 deg, I 17, (3 0 0)
- 79.39 deg, I 15, (1 2 4)
- 79.83 deg, I 16, (1 3 2)

Atomic structure:
Unit cell a=5.3649 b=5.3649 c=6.6467 alpha=90.00 beta=90.00 gamma=120.00
Space group P-3m1 (No. 164)
Asymmetric unit:
Sr1 0.0000 0.0000 0.0000 [1 per cell]
Sr2 0.3333 0.6667 0.3421 [2 per cell]
H1 0.0000 0.5000 0.0000 [3 per cell]
H2 0.1707 0.3414 0.6860 [6 per cell]
Pd1 0.3333 0.6667 0.8290 [2 per cell]